Rb2Cu3P4O12F4: calculated XRD peak list (Cu Kα X-rays), based on a crystal structure in the Materials Project, relaxed with GGA-PBE.
Lines closer than 0.1° are merged.

Top 10 peaks for 10° ≤ 2θ ≤ 90°, most intense first:
2θ/deg, d_spacing, I/Imax, index
31.32, 2.856, 100, 1 3 -1
30.19, 2.960, 57, 0 1 3
27.13, 3.286, 48, 2 1 1
29.71, 3.007, 41, 1 2 2
20.78, 4.274, 38, 0 2 1
11.29, 7.835, 27, 1 0 0
28.33, 3.150, 25, 2 0 -2
25.56, 3.485, 25, 2 1 -1
31.16, 2.871, 23, 2 0 2
55.93, 1.644, 18, 2 2 -5

```
data_Rb2Cu3P4O12F4
_chemical_formula_sum 'Rb4 Cu6 P8 O24 F8'
_space_group_name_H-M_alt 'P 1 21/c 1'
_space_group_IT_number 14
_cell_length_a 7.8697
_cell_length_b 9.6141
_cell_length_c 9.3761
_cell_angle_alpha 90.00
_cell_angle_beta 95.39
_cell_angle_gamma 90.00
loop_
_space_group_symop_operation_xyz
'x,y,z'
'-x,-y,-z'
'-x,y+1/2,-z+1/2'
'x,-y+1/2,z+1/2'
loop_
_atom_site_label
_atom_site_type_symbol
_atom_site_fract_x
_atom_site_fract_y
_atom_site_fract_z
Rb1 Rb 0.1190 0.0397 0.1865
Cu1 Cu 0.3884 0.6456 0.3159
Cu2 Cu 0.5000 0.0000 0.5000
P1 P 0.1877 0.6855 0.0180
P2 P 0.3915 0.1887 0.8881
O1 O 0.1821 0.6686 0.1795
O2 O 0.2315 0.6662 0.4727
O3 O 0.2793 0.5710 0.9421
O4 O 0.4063 0.1594 0.0488
O5 O 0.4439 0.0800 0.7862
O6 O 0.4595 0.1631 0.3542
F1 F 0.0058 0.1640 0.5459
F2 F 0.1872 0.2029 0.8528
```